No. 1
The following is a computed powder XRD pattern of DyZr4O9. It was derived from DFT lattice parameters and positions (PBE), using Cu Kα.
Peak positions follow from Bragg's law for the DFT cell and can differ from measured ones.

Main lines, sorted by position (2θ from 15° to 90°):
2θ 29.4, I = 97; 2θ 30.4, I = 100; 2θ 34.3, I = 19; 2θ 34.8, I = 33; 2θ 48.7, I = 18; 2θ 49.7, I = 67; 2θ 51.4, I = 17; 2θ 58.5, I = 41; 2θ 59.0, I = 12; 2θ 60.3, I = 26; 2θ 81.5, I = 10; 2θ 83.6, I = 11

Structural model:
abc: 9.868 9.868 9.868
angles: 159.23 37.38 149.27
Atoms (fractional coordinates):
Dy 0.000 0.000 0.000
Zr 0.166 0.969 0.197
Zr 0.358 0.965 0.392
Zr 0.573 0.965 0.608
Zr 0.772 0.969 0.803
O 0.019 0.721 0.297
O 0.111 0.217 0.894
O 0.323 0.217 0.106
O 0.358 0.858 0.500
O 0.424 0.721 0.703
O 0.520 0.220 0.300
O 0.625 0.719 0.906
O 0.813 0.719 0.094
O 0.920 0.220 0.700



No. 2
The following is a computed powder XRD pattern of Al3NiMo12. It was derived from DFT lattice parameters and positions (PBE), using Cu Kα.
Peak positions follow from Bragg's law for the DFT cell and can differ from measured ones.

Main lines, sorted by position (2θ from 15° to 90°):
2θ 25.3, I = 17; 2θ 36.1, I = 16; 2θ 40.6, I = 100; 2θ 44.7, I = 35; 2θ 52.1, I = 2; 2θ 65.0, I = 14; 2θ 68.0, I = 14; 2θ 68.1, I = 7; 2θ 71.0, I = 17; 2θ 76.6, I = 4; 2θ 76.8, I = 7; 2θ 87.9, I = 3

Structural model:
abc: 4.966 4.967 9.952
angles: 90.00 90.00 90.00
Atoms (fractional coordinates):
Al 0.000 0.000 0.000
Al 0.500 0.500 0.251
Al 0.500 0.500 0.749
Ni 0.000 0.000 0.500
Mo 0.000 0.250 0.252
Mo 0.000 0.250 0.748
Mo 0.000 0.750 0.252
Mo 0.000 0.750 0.748
Mo 0.248 0.500 0.000
Mo 0.250 0.500 0.500
Mo 0.500 0.000 0.124
Mo 0.500 0.000 0.377
Mo 0.500 0.000 0.623
Mo 0.500 0.000 0.876
Mo 0.750 0.500 0.500
Mo 0.752 0.500 0.000



No. 3
The following is a computed powder XRD pattern of YNiB4. It was derived from DFT lattice parameters and positions (PBE), using Cu Kα.
Peak positions follow from Bragg's law for the DFT cell and can differ from measured ones.

Main lines, sorted by position (2θ from 15° to 90°):
2θ 15.7, I = 16; 2θ 23.6, I = 38; 2θ 28.4, I = 26; 2θ 31.7, I = 55; 2θ 33.7, I = 35; 2θ 39.9, I = 100; 2θ 42.4, I = 15; 2θ 44.6, I = 21; 2θ 48.3, I = 41; 2θ 70.7, I = 19; 2θ 71.3, I = 20; 2θ 84.3, I = 17

Structural model:
abc: 6.830 6.830 6.830
angles: 112.96 112.96 102.69
Atoms (fractional coordinates):
Y 0.202 0.202 0.000
Y 0.250 0.750 0.500
Y 0.750 0.250 0.500
Y 0.798 0.798 0.000
Ni 0.271 0.500 0.771
Ni 0.500 0.271 0.771
Ni 0.500 0.729 0.229
Ni 0.729 0.500 0.229
B 0.112 0.275 0.387
B 0.112 0.725 0.836
B 0.114 0.114 0.533
B 0.114 0.580 0.000
B 0.275 0.112 0.387
B 0.275 0.888 0.164
B 0.420 0.420 0.533
B 0.420 0.886 0.000
B 0.580 0.114 0.000
B 0.580 0.580 0.467
B 0.725 0.112 0.836
B 0.725 0.888 0.613
B 0.886 0.420 0.000
B 0.886 0.886 0.467
B 0.888 0.275 0.164
B 0.888 0.725 0.613



No. 4
The following is a computed powder XRD pattern of Cr2N. It was derived from DFT lattice parameters and positions (PBE), using Cu Kα.
Peak positions follow from Bragg's law for the DFT cell and can differ from measured ones.

Main lines, sorted by position (2θ from 15° to 90°):
2θ 20.1, I = 1; 2θ 29.6, I = 3; 2θ 37.6, I = 14; 2θ 40.9, I = 20; 2θ 43.0, I = 100; 2θ 56.8, I = 20; 2θ 67.9, I = 18; 2θ 76.0, I = 15; 2θ 80.3, I = 1; 2θ 82.4, I = 13; 2θ 83.8, I = 11; 2θ 88.7, I = 3

Structural model:
abc: 4.785 4.785 4.410
angles: 90.00 90.00 120.00
Atoms (fractional coordinates):
Cr 0.000 0.326 0.253
Cr 0.000 0.674 0.747
Cr 0.326 0.000 0.253
Cr 0.326 0.326 0.747
Cr 0.674 0.000 0.747
Cr 0.674 0.674 0.253
N 0.000 0.000 0.000
N 0.333 0.667 0.500
N 0.667 0.333 0.500



No. 5
The following is a computed powder XRD pattern of Rb2TlAu3. It was derived from DFT lattice parameters and positions (PBE), using Cu Kα.
Peak positions follow from Bragg's law for the DFT cell and can differ from measured ones.

Main lines, sorted by position (2θ from 15° to 90°):
2θ 15.9, I = 85; 2θ 18.0, I = 100; 2θ 27.7, I = 87; 2θ 30.7, I = 38; 2θ 31.4, I = 61; 2θ 32.1, I = 96; 2θ 36.4, I = 31; 2θ 38.7, I = 51; 2θ 41.5, I = 42; 2θ 49.0, I = 34; 2θ 50.2, I = 30; 2θ 57.2, I = 34

Structural model:
abc: 5.827 6.972 9.292
angles: 90.00 90.00 90.00
Atoms (fractional coordinates):
Rb 0.250 0.000 0.131
Rb 0.250 0.500 0.368
Rb 0.750 0.000 0.869
Rb 0.750 0.500 0.632
Tl 0.250 0.500 0.926
Tl 0.750 0.500 0.074
Au 0.000 0.000 0.500
Au 0.250 0.207 0.716
Au 0.250 0.793 0.716
Au 0.500 0.000 0.500
Au 0.750 0.207 0.284
Au 0.750 0.793 0.284